Entry 1:
# CsRbPdF4
Simulated powder X-ray diffraction pattern, copper Kα. Input: a PBE-relaxed structure.

Principal peaks in the range 2θ from 5° to 70°, in order of rising 2θ:
| d [Å] | Position (°2θ) | I (rel.) |
| --- | --- | --- |
| 6.055 | 14.6 | 382 |
| 3.216 | 27.7 | 184 |
| 3.177 | 28.1 | 231 |
| 3.027 | 29.5 | 167 |
| 2.840 | 31.5 | 1000 |
| 2.192 | 41.2 | 345 |
| 1.762 | 51.9 | 232 |
| 1.710 | 53.6 | 210 |

Atomic structure:
a = 3.729 Å, b = 6.055 Å, c = 6.355 Å
α = 90.00°, β = 90.00°, γ = 90.00°
Positions (direct):
Cs1 0.000 0.000 0.000
Rb1 0.000 0.500 0.500
Pd1 0.500 0.000 0.500
F1 0.500 0.236 0.281
F2 0.500 0.236 0.719
F3 0.500 0.764 0.281
F4 0.500 0.764 0.719

=====

Entry 2:
# CsTmPdF5
Simulated powder X-ray diffraction pattern, copper Kα. Input: a PBE-relaxed structure.

Principal peaks in the range 2θ from 5° to 70°, in order of rising 2θ:
| d [Å] | Position (°2θ) | I (rel.) |
| --- | --- | --- |
| 5.351 | 16.6 | 201 |
| 3.615 | 24.6 | 178 |
| 3.267 | 27.3 | 246 |
| 3.217 | 27.7 | 1000 |
| 3.092 | 28.9 | 363 |
| 2.780 | 32.2 | 369 |
| 2.672 | 33.5 | 272 |
| 1.808 | 50.5 | 465 |

Atomic structure:
a = 7.380 Å, b = 7.380 Å, c = 7.380 Å
α = 130.62°, β = 113.90°, γ = 86.78°
Positions (direct):
Cs1 0.370 0.120 0.250
Cs2 0.630 0.880 0.750
Tm1 0.000 0.500 0.500
Tm2 0.500 0.500 0.000
Pd1 0.000 0.000 0.500
Pd2 0.000 0.500 0.000
F1 0.067 0.353 0.186
F2 0.067 0.881 0.713
F3 0.329 0.579 0.750
F4 0.332 0.119 0.686
F5 0.332 0.647 0.213
F6 0.668 0.353 0.787
F7 0.668 0.881 0.314
F8 0.671 0.421 0.250
F9 0.933 0.119 0.287
F10 0.933 0.647 0.814

=====

Question: Which formula does entry 1 have?
Answer: CsRbPdF4